Diffraction record for NdFe2B2O7. The powder diffractogram is computed, not measured: it uses a DFT-relaxed cell (GGA+U, Alexandria) and Cu Kα X-rays.
Neutral-atom scattering factors, no anomalous dispersion.

The 10 most intense peaks (10° ≤ 2θ ≤ 90°), sorted by position:
d 8.525, intensity 100.0; d 4.115, intensity 88.5; d 3.594, intensity 48.0; d 3.312, intensity 41.2; d 2.797, intensity 69.3; d 2.509, intensity 44.8; d 2.142, intensity 25.3; d 1.881, intensity 30.3; d 1.629, intensity 18.9; d 1.499, intensity 20.9

```
NdFe2B2O7
1.0
2.5090 1.4486 8.5252
-2.5090 1.4486 8.5252
0.0000 -2.8972 8.5252
Nd Fe B O
1 2 2 7
direct
0.0000 0.0000 0.0000
0.4289 0.4289 0.4289
0.5711 0.5711 0.5711
0.2731 0.2731 0.2731
0.7269 0.7269 0.7269
0.0085 0.4570 0.7101
0.2899 0.5430 0.9915
0.4570 0.7101 0.0085
0.5000 0.5000 0.5000
0.5430 0.9915 0.2899
0.7101 0.0085 0.4570
0.9915 0.2899 0.5430
```